# V2CuPdO8
Theoretical powder diffractogram, Cu Ka. Input: a PBE+U-relaxed structure.
No peak broadening, texture or thermal motion is included.

Cell and atoms:
abc: 5.6698 5.6698 5.6499
angles: 90.00 90.00 120.00
Atoms (fractional coordinates):
V  0.3333  0.6667  0.1985
V  0.6667  0.3333  0.8015
Cu  0.0000  0.0000  0.0000
Pd  0.0000  0.0000  0.5000
O  0.1533  0.3066  0.2633
O  0.1533  0.8467  0.2633
O  0.3066  0.1533  0.7367
O  0.3333  0.6667  0.9114
O  0.6667  0.3333  0.0886
O  0.6934  0.8467  0.2633
O  0.8467  0.1533  0.7367
O  0.8467  0.6934  0.7367

Principal peaks in the range 2θ from 5° to 70°, in order of falling intensity:
hkl, d_spacing, I (rel.)
1 1 0, 2.835, 100
1 0 0, 4.910, 94
1 0 1, 3.706, 72
0 1 2, 2.449, 58
2 0 2, 1.854, 55
1 2 2, 1.551, 35
2 2 0, 1.417, 25
1 1 2, 2.001, 18
2 1 1, 1.763, 18
3 0 0, 1.637, 17
1 0 4, 1.357, 11
1 1 3, 1.569, 7